For Li4Ti3Cr5O16, the PBE+U geometry in the Materials Project gives the simulated powder diffractogram in this record (CuKα).
Intensities are scaled so that the largest is 100.

Structure:
Lattice parameters (Å, degrees): 10.195 5.921 9.549 90.00 90.24 90.00
Space group Cm (No. 8)
One atom of each set of equivalent atoms:
1 Li 0.000 0.000 0.000 [2 per cell]
2 Li 0.004 0.000 0.504 [2 per cell]
3 Li 0.171 0.500 0.896 [2 per cell]
4 Li 0.337 0.000 0.399 [2 per cell]
5 Ti 0.088 0.253 0.219 [4 per cell]
6 Ti 0.174 0.000 0.722 [2 per cell]
7 Cr 0.171 0.500 0.491 [2 per cell]
8 Cr 0.333 0.500 0.219 [2 per cell]
9 Cr 0.340 0.000 0.989 [2 per cell]
10 Cr 0.419 0.246 0.716 [4 per cell]
11 O 0.005 0.000 0.814 [2 per cell]
12 O 0.006 0.000 0.317 [2 per cell]
13 O 0.025 0.500 0.344 [2 per cell]
14 O 0.088 0.246 0.608 [4 per cell]
15 O 0.165 0.500 0.108 [2 per cell]
16 O 0.169 0.000 0.110 [2 per cell]
17 O 0.242 0.279 0.346 [4 per cell]
18 O 0.263 0.219 0.845 [4 per cell]
19 O 0.333 0.000 0.607 [2 per cell]
20 O 0.338 0.500 0.610 [2 per cell]
21 O 0.426 0.251 0.108 [4 per cell]
22 O 0.483 0.000 0.841 [2 per cell]

Principal peaks in the range 2θ from 10° to 90°, low angle first:
hkl 0 0 2, 4.774 Å, 2θ 18.6, intensity 68
hkl 1 1 1, 4.511 Å, 2θ 19.7, intensity 100
hkl 2 0 1, 4.489 Å, 2θ 19.8, intensity 21
hkl 2 0 -2, 3.492 Å, 2θ 25.5, intensity 33
hkl 2 0 -3, 2.704 Å, 2θ 33.1, intensity 31
hkl 3 1 -2, 2.514 Å, 2θ 35.7, intensity 42
hkl 3 1 2, 2.504 Å, 2θ 35.9, intensity 22
hkl 2 2 1, 2.473 Å, 2θ 36.3, intensity 34
hkl 2 2 2, 2.256 Å, 2θ 40.0, intensity 34
hkl 4 0 -3, 1.995 Å, 2θ 45.5, intensity 60
hkl 4 0 -5, 1.532 Å, 2θ 60.4, intensity 25
hkl 6 2 0, 1.474 Å, 2θ 63.1, intensity 32

=====

For MnRePb2O6, the PBE+U geometry in the Materials Project gives the simulated powder diffractogram in this record (CuKα).
Intensities are scaled so that the largest is 100.

Structure:
Lattice parameters (Å, degrees): 18.094 8.279 5.724 90.00 108.31 90.00
Space group C2/m (No. 12)
One atom of each set of equivalent atoms:
1 Mn 0.000 0.000 0.000 [2 per cell]
2 Mn 0.167 0.500 0.679 [4 per cell]
3 Re 0.000 0.500 0.000 [2 per cell]
4 Re 0.167 0.000 0.664 [4 per cell]
5 Pb 0.000 0.255 0.500 [4 per cell]
6 Pb 0.167 0.249 0.194 [8 per cell]
7 O 0.000 0.266 0.000 [4 per cell]
8 O 0.060 0.500 0.768 [4 per cell]
9 O 0.078 0.000 0.367 [4 per cell]
10 O 0.096 0.500 0.278 [4 per cell]
11 O 0.101 0.000 0.862 [4 per cell]
12 O 0.167 0.236 0.646 [8 per cell]
13 O 0.232 0.000 0.448 [4 per cell]
14 O 0.241 0.500 0.058 [4 per cell]

Principal peaks in the range 2θ from 10° to 90°, low angle first:
hkl 3 1 0, 4.709 Å, 2θ 18.8, intensity 17
hkl 4 2 -1, 2.894 Å, 2θ 30.9, intensity 100
hkl 6 0 0, 2.862 Å, 2θ 31.2, intensity 50
hkl 6 2 0, 2.354 Å, 2θ 38.2, intensity 10
hkl 0 4 0, 2.070 Å, 2θ 43.7, intensity 15
hkl 4 0 2, 2.026 Å, 2θ 44.7, intensity 12
hkl 8 0 -2, 2.022 Å, 2θ 44.8, intensity 12
hkl 6 4 0, 1.677 Å, 2θ 54.7, intensity 21
hkl 8 2 1, 1.659 Å, 2θ 55.4, intensity 40
hkl 8 4 -2, 1.447 Å, 2θ 64.4, intensity 16
hkl 4 6 -1, 1.306 Å, 2θ 72.4, intensity 9
hkl 10 0 2, 1.281 Å, 2θ 74.0, intensity 8

=====

For V3O8, the PBE+U geometry in the Materials Project gives the simulated powder diffractogram in this record (CuKα).
Intensities are scaled so that the largest is 100.

Structure:
Lattice parameters (Å, degrees): 2.876 9.832 10.274 78.08 89.90 81.60
Space group P1 (No. 1)
One atom of each set of equivalent atoms:
1 V 0.000 0.000 0.000 [1 per cell]
2 V 0.003 0.001 0.499 [1 per cell]
3 V 0.095 0.652 0.919 [1 per cell]
4 V 0.260 0.652 0.418 [1 per cell]
5 V 0.345 0.303 0.337 [1 per cell]
6 V 0.357 0.302 0.841 [1 per cell]
7 O 0.078 0.842 0.457 [1 per cell]
8 O 0.086 0.842 0.956 [1 per cell]
9 O 0.263 0.463 0.379 [1 per cell]
10 O 0.281 0.461 0.883 [1 per cell]
11 O 0.464 0.081 0.868 [1 per cell]
12 O 0.464 0.082 0.366 [1 per cell]
13 O 0.507 0.989 0.610 [1 per cell]
14 O 0.511 0.986 0.112 [1 per cell]
15 O 0.628 0.705 0.295 [1 per cell]
16 O 0.675 0.600 0.541 [1 per cell]
17 O 0.679 0.702 0.795 [1 per cell]
18 O 0.726 0.601 0.043 [1 per cell]
19 O 0.840 0.316 0.226 [1 per cell]
20 O 0.852 0.315 0.729 [1 per cell]
21 O 0.885 0.223 0.470 [1 per cell]
22 O 0.900 0.221 0.973 [1 per cell]

Principal peaks in the range 2θ from 10° to 90°, low angle first:
hkl 0 0 2, 5.024 Å, 2θ 17.7, intensity 100
hkl 0 1 2, 4.883 Å, 2θ 18.2, intensity 20
hkl 0 1 -2, 4.103 Å, 2θ 21.7, intensity 34
hkl 0 2 2, 3.882 Å, 2θ 22.9, intensity 51
hkl 0 3 0, 3.171 Å, 2θ 28.1, intensity 41
hkl 1 1 0, 2.844 Å, 2θ 31.5, intensity 9
hkl 1 1 -2, 2.442 Å, 2θ 36.8, intensity 55
hkl 0 5 2, 1.916 Å, 2θ 47.4, intensity 24
hkl -1 1 4, 1.896 Å, 2θ 48.0, intensity 11
hkl 1 0 4, 1.854 Å, 2θ 49.1, intensity 28
hkl 1 -3 2, 1.750 Å, 2θ 52.3, intensity 12
hkl 1 5 6, 1.309 Å, 2θ 72.1, intensity 11